Diffraction record for EuH3O3. The X-ray diffraction stick pattern is computed, not measured: it uses a structure optimized by DFT (GGA-PBE) and Cu Kα, 1.54184 Å.
Intensities are scaled so that the largest is 100.

Crystal structure
```
EuH3O3
1.0
6.477 0.000 0.000
0.000 3.679 0.000
-3.023 0.000 5.770
Eu H O
2 6 6
Cartesian
0.026 0.920 1.862 Eu
3.428 2.759 3.909 Eu
-1.144 0.920 4.932 H
1.910 2.759 0.807 H
0.299 2.759 3.924 H
3.155 0.920 1.846 H
1.544 0.920 4.963 H
4.598 2.759 0.838 H
-2.059 0.920 5.266 O
-0.543 2.759 3.428 O
1.705 2.759 1.760 O
1.749 0.920 4.010 O
3.997 0.920 2.342 O
5.513 2.759 0.504 O
```

Top 6 peaks for 5° ≤ 2θ ≤ 70°, sorted by position:
2θ (°)	d_spacing	I_rel
15.41	5.750	100
15.95	5.558	45
26.51	3.362	38
28.80	3.100	93
29.11	3.068	45
39.85	2.262	40

***

Diffraction record for RbZnN. The X-ray diffraction stick pattern is computed, not measured: it uses a structure optimized by DFT (GGA-PBE) and Cu Kα, 1.54184 Å.
Intensities are scaled so that the largest is 100.

Crystal structure
```
RbZnN
1.0
5.371 0.000 0.000
-2.686 4.651 0.000
0.000 0.000 3.588
Rb Zn N
1 1 1
Cartesian
0.000 0.000 0.000 Rb
2.686 1.550 1.794 Zn
2.686 1.550 0.000 N
```

Top 6 peaks for 5° ≤ 2θ ≤ 70°, sorted by position:
2θ (°)	d_spacing	I_rel
19.08	4.651	83
31.49	2.841	100
33.36	2.686	80
46.53	1.952	34
58.46	1.579	34
62.23	1.492	24

***

Diffraction record for LaCo8Si5. The X-ray diffraction stick pattern is computed, not measured: it uses a structure optimized by DFT (GGA-PBE) and Cu Kα, 1.54184 Å.
Intensities are scaled so that the largest is 100.

Crystal structure
```
LaCo8Si5
1.0
-3.896 3.896 5.763
3.896 -3.896 5.763
3.896 3.896 -5.763
La Co Si
2 16 10
Cartesian
0.000 0.000 2.882 La
0.000 0.000 8.645 La
6.145 0.447 0.000 Co
2.987 -0.909 2.063 Co
4.805 -0.909 3.700 Co
0.447 1.647 0.000 Co
4.343 2.249 0.000 Co
4.805 0.909 2.063 Co
2.987 0.909 3.700 Co
2.249 3.449 0.000 Co
1.647 0.447 5.763 Co
0.909 2.987 2.063 Co
-0.909 2.987 3.700 Co
-0.447 1.647 5.763 Co
3.449 2.249 5.763 Co
-0.909 4.805 2.063 Co
0.909 4.805 3.700 Co
-2.249 3.449 5.763 Co
3.896 0.000 0.000 Si
2.473 1.423 -1.437 Si
2.473 -1.423 4.326 Si
2.473 1.423 1.437 Si
2.473 -1.423 7.201 Si
0.000 3.896 0.000 Si
1.423 5.319 -1.437 Si
1.423 2.473 4.326 Si
1.423 5.319 1.437 Si
1.423 2.473 7.201 Si
```

Top 6 peaks for 5° ≤ 2θ ≤ 70°, sorted by position:
2θ (°)	d_spacing	I_rel
35.14	2.554	36
36.14	2.486	56
39.79	2.266	100
47.28	1.922	51
48.32	1.884	66
48.83	1.865	36

***

Diffraction record for Mn6Ga2CN. The X-ray diffraction stick pattern is computed, not measured: it uses a structure optimized by DFT (GGA-PBE) and Cu Kα, 1.54184 Å.
Intensities are scaled so that the largest is 100.

Crystal structure
```
Mn6Ga2CN
1.0
4.688 0.000 0.000
0.000 4.688 0.000
0.000 0.000 9.392
Mn Ga C N
6 2 1 1
Cartesian
0.000 0.000 0.000 Mn
0.000 0.000 4.696 Mn
0.000 2.344 2.264 Mn
0.000 2.344 7.129 Mn
2.344 0.000 2.264 Mn
2.344 0.000 7.129 Mn
0.000 0.000 2.356 Ga
0.000 0.000 7.036 Ga
2.344 2.344 0.000 C
2.344 2.344 4.696 N
```

Top 6 peaks for 5° ≤ 2θ ≤ 70°, sorted by position:
2θ (°)	d_spacing	I_rel
18.92	4.691	100
33.08	2.708	28
38.38	2.345	77
43.12	2.098	48
55.40	1.658	48
69.41	1.354	15

***

Diffraction record for Cs2CdSn3Se8. The X-ray diffraction stick pattern is computed, not measured: it uses a structure optimized by DFT (GGA-PBE) and Cu Kα, 1.54184 Å.
Intensities are scaled so that the largest is 100.

Crystal structure
```
Cs2CdSn3Se8
1.0
8.246 0.000 0.000
0.000 13.698 0.000
0.000 0.000 18.980
Cs Cd Sn Se
8 4 12 32
Cartesian
2.005 2.638 3.026 Cs
2.064 1.783 10.456 Cs
2.059 11.914 0.966 Cs
2.118 11.060 12.516 Cs
6.128 4.211 15.954 Cs
6.187 5.066 8.524 Cs
6.182 8.632 18.015 Cs
6.241 9.487 6.464 Cs
0.131 13.675 6.588 Cd
3.992 0.023 16.079 Cd
4.254 6.871 12.392 Cd
8.115 6.826 2.902 Cd
0.132 6.584 12.392 Sn
1.918 5.949 18.692 Sn
1.952 6.177 6.113 Sn
2.171 7.520 15.603 Sn
2.205 7.749 9.202 Sn
3.991 7.113 2.901 Sn
4.255 0.265 6.589 Sn
6.041 0.900 0.288 Sn
6.076 0.671 12.868 Sn
6.294 13.026 3.377 Sn
6.328 12.797 9.778 Sn
8.115 13.433 16.079 Sn
0.017 8.332 10.437 Se
0.032 1.350 14.013 Se
0.147 12.106 4.375 Se
0.204 12.004 8.710 Se
1.930 8.472 18.035 Se
1.935 8.565 2.996 Se
1.938 11.972 16.171 Se
1.964 8.690 6.782 Se
2.159 5.007 16.272 Se
2.185 1.725 6.681 Se
2.188 5.132 12.486 Se
2.193 5.225 8.544 Se
3.919 1.694 18.200 Se
3.976 1.591 13.866 Se
4.091 12.348 4.522 Se
4.106 5.365 0.947 Se
4.141 12.214 8.544 Se
4.155 5.499 4.968 Se
4.270 8.440 14.605 Se
4.327 8.542 10.270 Se
6.053 12.074 0.946 Se
6.061 8.574 2.809 Se
6.059 11.981 15.985 Se
6.087 11.856 12.199 Se
6.282 1.842 2.708 Se
6.311 1.716 6.494 Se
6.309 5.123 12.300 Se
6.316 1.624 10.436 Se
8.043 5.155 0.780 Se
8.100 5.257 5.115 Se
8.214 8.198 14.458 Se
8.229 1.484 18.034 Se
```

Top 6 peaks for 5° ≤ 2θ ≤ 70°, sorted by position:
2θ (°)	d_spacing	I_rel
12.93	6.849	55
24.04	3.702	35
24.42	3.645	79
25.65	3.473	37
26.86	3.319	100
43.94	2.061	45

***

Diffraction record for SbBr3. The X-ray diffraction stick pattern is computed, not measured: it uses a structure optimized by DFT (GGA-PBE) and Cu Kα, 1.54184 Å.
Intensities are scaled so that the largest is 100.

Crystal structure
```
SbBr3
1.0
8.746 0.000 0.000
0.000 10.342 0.000
0.000 0.000 7.170
Sb Br
4 12
Cartesian
0.010 2.585 0.157 Sb
4.363 7.756 3.742 Sb
4.382 2.585 3.428 Sb
8.736 7.756 7.013 Sb
0.677 2.585 4.867 Br
1.568 0.731 0.994 Br
1.568 4.440 0.994 Br
2.804 5.902 4.579 Br
2.804 9.611 4.579 Br
3.696 7.756 1.282 Br
5.050 2.585 5.888 Br
5.941 0.731 2.591 Br
5.941 4.440 2.591 Br
7.177 5.902 6.176 Br
7.177 9.611 6.176 Br
8.068 7.756 2.303 Br
```

Top 6 peaks for 5° ≤ 2θ ≤ 70°, sorted by position:
2θ (°)	d_spacing	I_rel
15.98	5.545	100
26.70	3.339	89
26.88	3.317	50
28.73	3.107	44
37.58	2.394	43
42.95	2.106	43